The following is a simulated powder X-ray diffraction pattern of Mn2GaSnO6. It was derived from a crystal structure in Alexandria, relaxed with GGA+U, using Cu Kα, 1.54184 Å.
Intensities are scaled so that the largest is 100.

Top 8 peaks for 10° ≤ 2θ ≤ 90°, low angle first:
d (Å), 2theta, I (rel.), h k l
3.817, 23.31, 51, 1 0 0
3.798, 23.42, 26, -1 1 1
2.785, 32.15, 100, 1 -1 1
2.771, 32.30, 49, 1 0 -2
2.618, 34.25, 88, 1 1 -1
2.612, 34.33, 43, -2 1 1
1.541, 60.05, 28, 2 -3 1
1.512, 61.31, 32, 3 0 -2

Crystal structure
```
data_Mn2GaSnO6
_chemical_formula_sum 'Mn2 Ga1 Sn1 O6'
_cell_length_a 5.224
_cell_length_b 5.230
_cell_length_c 5.566
_cell_angle_alpha 90.16
_cell_angle_beta 117.70
_cell_angle_gamma 119.80
_space_group_name_H-M_alt 'P 1'
_space_group_IT_number 1
loop_
_space_group_symop_operation_xyz
'x,y,z'
loop_
_atom_site_label
_atom_site_fract_x
_atom_site_fract_y
_atom_site_fract_z
_atom_site_occupancy
Mn1 0.000 0.000 0.000 1
Mn2 0.038 0.519 0.557 1
Ga1 0.428 0.211 0.641 1
Sn1 0.443 0.721 0.165 1
O1 0.225 0.419 0.354 1
O2 0.246 0.330 0.830 1
O3 0.500 0.915 0.831 1
O4 0.545 0.126 0.354 1
O5 0.915 0.582 0.830 1
O6 0.933 0.805 0.357 1
```